Theoretical PXRD pattern of NpFe2As2 for Cu Kα (λ = 1.5418 Å), from a GGA-PBE-relaxed structure.
Peak positions follow from Bragg's law for the DFT cell and can differ from measured ones.

Most intense lines, 5° ≤ 2θ ≤ 70°, sorted by position:
(0 0 1), 2θ 13.8, I = 25; (1 0 1), 2θ 28.2, I = 68; (1 1 0), 2θ 34.8, I = 29; (1 0 2), 2θ 37.4, I = 100; (1 1 1), 2θ 37.6, I = 87; (1 0 3), 2θ 49.4, I = 22; (2 0 0), 2θ 50.0, I = 37; (1 1 3), 2θ 55.9, I = 21; (2 1 1), 2θ 58.4, I = 19; (2 1 2), 2θ 64.1, I = 42

abc: 3.6472 3.6472 6.4090
angles: 90.00 90.00 90.00
Sites, in units of the cell vectors:
Np  0.0000  0.0000  0.0000
Fe  0.0000  0.5000  0.5000
Fe  0.5000  0.0000  0.5000
As  0.5000  0.5000  0.2377
As  0.5000  0.5000  0.7623